1.
Calculated powder XRD pattern of Sc3Ge3Ir2 for Cu Kα, 1.54184 Å, from DFT lattice parameters and positions (GGA-PBE).

Most intense lines, 15 to 90 degrees two-theta, most intense first:
2θ 19.93, d = 4.454 Å, rel. 100
2θ 40.64, d = 2.220 Å, rel. 93
2θ 34.50, d = 2.600 Å, rel. 66
2θ 25.65, d = 3.473 Å, rel. 58
2θ 42.73, d = 2.116 Å, rel. 54
2θ 35.94, d = 2.499 Å, rel. 40
2θ 38.48, d = 2.339 Å, rel. 39
2θ 48.55, d = 1.875 Å, rel. 32

Structure:
Cell: 8.008 13.676 5.360 Å, 90.00 90.00 90.00°
Fractional coordinates of all 32 atoms:
Sc 0.046 0.116 0.109
Sc 0.046 0.384 0.109
Sc 0.194 0.250 0.637
Sc 0.306 0.750 0.137
Sc 0.454 0.616 0.609
Sc 0.454 0.884 0.609
Sc 0.546 0.116 0.391
Sc 0.546 0.384 0.391
Sc 0.694 0.250 0.863
Sc 0.806 0.750 0.363
Sc 0.954 0.616 0.891
Sc 0.954 0.884 0.891
Ge 0.166 0.750 0.624
Ge 0.215 0.040 0.611
Ge 0.215 0.460 0.611
Ge 0.285 0.540 0.111
Ge 0.285 0.960 0.111
Ge 0.334 0.250 0.124
Ge 0.666 0.750 0.876
Ge 0.715 0.040 0.889
Ge 0.715 0.460 0.889
Ge 0.785 0.540 0.389
Ge 0.785 0.960 0.389
Ge 0.834 0.250 0.376
Ir 0.068 0.599 0.390
Ir 0.068 0.901 0.390
Ir 0.432 0.099 0.890
Ir 0.432 0.401 0.890
Ir 0.568 0.599 0.110
Ir 0.568 0.901 0.110
Ir 0.932 0.099 0.610
Ir 0.932 0.401 0.610

---

2.
Calculated powder XRD pattern of SiGeIr2 for Cu Kα, 1.54184 Å, from DFT lattice parameters and positions (GGA-PBE).

Most intense lines, 15 to 90 degrees two-theta, most intense first:
2θ 29.59, d = 3.019 Å, rel. 100
2θ 44.20, d = 2.049 Å, rel. 57
2θ 44.00, d = 2.058 Å, rel. 56
2θ 43.17, d = 2.096 Å, rel. 53
2θ 31.94, d = 2.802 Å, rel. 43
2θ 28.27, d = 3.157 Å, rel. 43
2θ 42.00, d = 2.151 Å, rel. 32
2θ 46.06, d = 1.970 Å, rel. 29

Structure:
Cell: 6.874 6.314 5.603 Å, 90.00 90.27 90.00°
Fractional coordinates of all 16 atoms:
Si 0.123 0.057 0.185
Si 0.123 0.443 0.685
Si 0.877 0.557 0.315
Si 0.877 0.943 0.815
Ge 0.377 0.586 0.311
Ge 0.377 0.914 0.811
Ge 0.623 0.086 0.189
Ge 0.623 0.414 0.689
Ir 0.104 0.706 0.005
Ir 0.104 0.794 0.505
Ir 0.348 0.203 0.500
Ir 0.348 0.297 0.000
Ir 0.652 0.703 0.000
Ir 0.652 0.797 0.500
Ir 0.896 0.206 0.495
Ir 0.896 0.294 0.995

---

3.
Calculated powder XRD pattern of Sm3Ge13Ir4 for Cu Kα, 1.54184 Å, from DFT lattice parameters and positions (GGA-PBE).

Most intense lines, 15 to 90 degrees two-theta, most intense first:
2θ 35.54, d = 2.526 Å, rel. 100
2θ 39.58, d = 2.277 Å, rel. 57
2θ 49.00, d = 1.859 Å, rel. 56
2θ 34.10, d = 2.629 Å, rel. 54
2θ 19.49, d = 4.554 Å, rel. 51
2θ 44.49, d = 2.036 Å, rel. 42
2θ 36.93, d = 2.434 Å, rel. 39
2θ 68.32, d = 1.373 Å, rel. 39

Structure:
Cell: 9.107 9.107 9.107 Å, 90.00 90.00 90.00°
Fractional coordinates of all 40 atoms:
Sm 0.000 0.250 0.500
Sm 0.000 0.750 0.500
Sm 0.250 0.500 0.000
Sm 0.500 0.000 0.250
Sm 0.500 0.000 0.750
Sm 0.750 0.500 0.000
Ge 0.000 0.000 0.000
Ge 0.000 0.305 0.146
Ge 0.000 0.305 0.854
Ge 0.000 0.695 0.146
Ge 0.000 0.695 0.854
Ge 0.146 0.000 0.305
Ge 0.146 0.000 0.695
Ge 0.195 0.500 0.354
Ge 0.195 0.500 0.646
Ge 0.305 0.146 0.000
Ge 0.305 0.854 0.000
Ge 0.354 0.195 0.500
Ge 0.354 0.805 0.500
Ge 0.500 0.354 0.195
Ge 0.500 0.354 0.805
Ge 0.500 0.500 0.500
Ge 0.500 0.646 0.195
Ge 0.500 0.646 0.805
Ge 0.646 0.195 0.500
Ge 0.646 0.805 0.500
Ge 0.695 0.146 0.000
Ge 0.695 0.854 0.000
Ge 0.805 0.500 0.354
Ge 0.805 0.500 0.646
Ge 0.854 0.000 0.305
Ge 0.854 0.000 0.695
Ir 0.250 0.250 0.250
Ir 0.250 0.250 0.750
Ir 0.250 0.750 0.250
Ir 0.250 0.750 0.750
Ir 0.750 0.250 0.250
Ir 0.750 0.250 0.750
Ir 0.750 0.750 0.250
Ir 0.750 0.750 0.750

---

4.
Calculated powder XRD pattern of Sm2Ge3Ir5 for Cu Kα, 1.54184 Å, from DFT lattice parameters and positions (GGA-PBE).

Most intense lines, 15 to 90 degrees two-theta, most intense first:
2θ 35.57, d = 2.524 Å, rel. 100
2θ 35.87, d = 2.504 Å, rel. 61
2θ 42.90, d = 2.108 Å, rel. 51
2θ 39.44, d = 2.285 Å, rel. 38
2θ 42.35, d = 2.134 Å, rel. 30
2θ 68.38, d = 1.372 Å, rel. 28
2θ 33.97, d = 2.639 Å, rel. 24
2θ 39.10, d = 2.304 Å, rel. 23

Structure:
Cell: 12.415 12.415 6.832 Å, 90.00 90.00 160.45°
Fractional coordinates of all 20 atoms:
Sm 0.022 0.978 0.500
Sm 0.325 0.675 0.486
Sm 0.675 0.325 0.986
Sm 0.978 0.022 0.000
Ge 0.111 0.889 0.776
Ge 0.266 0.734 0.973
Ge 0.453 0.547 0.703
Ge 0.547 0.453 0.203
Ge 0.734 0.266 0.473
Ge 0.889 0.111 0.276
Ir 0.101 0.899 0.159
Ir 0.207 0.793 0.670
Ir 0.208 0.792 0.272
Ir 0.367 0.633 0.941
Ir 0.443 0.557 0.333
Ir 0.557 0.443 0.833
Ir 0.633 0.367 0.441
Ir 0.792 0.208 0.772
Ir 0.793 0.207 0.170
Ir 0.899 0.101 0.659